No. 1
Structure and simulated powder diffractogram of MnNiSnRh (a DFT-relaxed cell (PBE, Alexandria); λ = 1.5418 Å (Cu Kα)).
Neutral-atom scattering factors, no anomalous dispersion.

Largest 12 diffraction maxima, low angle first, 10° ≤ 2θ ≤ 90°:
two_theta, I_rel, index
25.21, 16, 1 0 1
40.21, 100, 1 1 2
43.82, 4, 1 0 3
44.71, 37, 2 0 0
50.69, 13, 0 0 4
52.02, 5, 2 1 1
64.40, 3, 2 1 3
65.09, 12, 2 2 0
69.87, 19, 2 0 4
79.34, 26, 3 1 2
86.86, 11, 2 2 4
88.24, 10, 1 1 6

Structure:
a = 4.053 Å, b = 4.053 Å, c = 7.203 Å
α = 90.00°, β = 90.00°, γ = 90.00°
Space group I-4m2 (No. 119)
Inequivalent atoms, fractional coordinates:
Mn: 0.000 0.000 0.000 x2
Ni: 0.000 0.500 0.750 x2
Sn: 0.000 0.000 0.500 x2
Rh: 0.000 0.500 0.250 x2

=====

No. 2
Structure and simulated powder diffractogram of MnNiRu2 (a DFT-relaxed cell (PBE, Alexandria); λ = 1.5418 Å (Cu Kα)).
Neutral-atom scattering factors, no anomalous dispersion.

Largest 12 diffraction maxima, low angle first, 10° ≤ 2θ ≤ 90°:
two_theta, I_rel, index
16.98, 16, 0 0 1
29.65, 9, 0 1 1
41.49, 100, 1 1 0
42.42, 93, 0 1 2
48.56, 62, 1 0 2
49.40, 30, 0 2 0
69.80, 10, 2 0 0
71.78, 36, 1 2 2
72.41, 9, 0 0 4
85.20, 23, 2 1 2
87.07, 32, 1 3 0
87.71, 11, 0 3 2

Structure:
a = 2.695 Å, b = 3.690 Å, c = 5.221 Å
α = 90.00°, β = 90.00°, γ = 90.00°
Space group Pmm2 (No. 25)
Inequivalent atoms, fractional coordinates:
Mn: 0.000 0.000 0.000 x1
Ni: 0.500 0.500 0.231 x1
Ru: 0.000 0.000 0.488 x1
Ru: 0.500 0.500 0.731 x1

=====

No. 3
Structure and simulated powder diffractogram of MnNi2Ru (a DFT-relaxed cell (PBE, Alexandria); λ = 1.5418 Å (Cu Kα)).
Neutral-atom scattering factors, no anomalous dispersion.

Largest 12 diffraction maxima, low angle first, 10° ≤ 2θ ≤ 90°:
two_theta, I_rel, index
24.49, 3, 0 0 2
27.48, 6, 1 0 1
34.99, 2, 1 1 0
43.17, 100, 1 1 2
44.99, 2, 1 0 3
50.19, 16, 0 0 4
50.32, 31, 2 0 0
58.29, 2, 2 1 1
73.82, 18, 2 0 4
73.92, 9, 2 2 0
89.44, 11, 1 1 6
89.64, 22, 3 1 2

Structure:
a = 3.627 Å, b = 3.627 Å, c = 7.271 Å
α = 90.00°, β = 90.00°, γ = 90.00°
Space group I-4m2 (No. 119)
Inequivalent atoms, fractional coordinates:
Mn: 0.000 0.000 0.000 x2
Ni: 0.000 0.000 0.500 x2
Ni: 0.000 0.500 0.750 x2
Ru: 0.000 0.500 0.250 x2

=====

No. 4
Structure and simulated powder diffractogram of MnNiRu2 (a DFT-relaxed cell (PBE, Alexandria); λ = 1.5418 Å (Cu Kα)).
Neutral-atom scattering factors, no anomalous dispersion.

Largest 12 diffraction maxima, low angle first, 10° ≤ 2θ ≤ 90°:
two_theta, I_rel, index
29.03, 18, 1 0 2
42.21, 100, 1 1 1
43.98, 79, 1 0 4
44.65, 47, 0 1 3
45.25, 41, 2 0 0
59.67, 11, 0 1 5
65.45, 29, 2 1 3
81.45, 14, 3 1 1
82.67, 12, 3 0 4
83.03, 12, 1 1 7
88.28, 20, 1 2 4
89.17, 11, 2 2 0

Structure:
a = 4.008 Å, b = 2.626 Å, c = 9.598 Å
α = 90.00°, β = 90.00°, γ = 90.00°
Space group Amm2 (No. 38)
Inequivalent atoms, fractional coordinates:
Mn: 0.000 0.000 0.000 x2
Ni: 0.500 0.000 0.133 x2
Ru: 0.000 0.000 0.737 x2
Ru: 0.500 0.000 0.396 x2

=====

No. 5
Structure and simulated powder diffractogram of MnNiS4 (a DFT-relaxed cell (PBE, Alexandria); λ = 1.5418 Å (Cu Kα)).
Neutral-atom scattering factors, no anomalous dispersion.

Largest 12 diffraction maxima, low angle first, 10° ≤ 2θ ≤ 90°:
two_theta, I_rel, index
14.24, 100, 2 0 0
31.01, 5, 1 1 -1
34.00, 18, 0 0 2
34.42, 39, 3 1 -1
42.25, 13, 2 0 2
42.46, 5, 3 1 1
43.03, 24, 5 1 -1
54.14, 12, 5 1 1
55.06, 6, 0 2 0
55.25, 18, 3 1 -3
57.01, 5, 1 1 -3
71.76, 5, 2 2 2

Structure:
a = 13.575 Å, b = 3.336 Å, c = 5.756 Å
α = 90.00°, β = 113.62°, γ = 90.00°
Space group C2/m (No. 12)
Inequivalent atoms, fractional coordinates:
Mn: 0.000 0.000 0.000 x2
Ni: 0.000 0.500 0.500 x2
S: 0.100 0.000 0.434 x4
S: 0.104 0.500 0.926 x4

=====

No. 6
Structure and simulated powder diffractogram of Mn3NiS6 (a DFT-relaxed cell (PBE, Alexandria); λ = 1.5418 Å (Cu Kα)).
Neutral-atom scattering factors, no anomalous dispersion.

Largest 12 diffraction maxima, low angle first, 10° ≤ 2θ ≤ 90°:
two_theta, I_rel, index
28.38, 100, 2 2 1
28.91, 30, 1 3 1
31.67, 20, 1 1 2
32.86, 20, 3 1 1
39.72, 28, 3 3 1
41.85, 16, 3 1 2
42.98, 26, 0 4 2
47.26, 19, 2 4 2
48.76, 38, 3 5 0
54.10, 19, 3 1 3
57.83, 15, 5 1 2
58.55, 22, 6 0 0

Structure:
a = 9.463 Å, b = 11.587 Å, c = 6.124 Å
α = 90.00°, β = 90.00°, γ = 90.00°
Space group Cmc2_1 (No. 36)
Inequivalent atoms, fractional coordinates:
Mn: 0.000 0.104 0.000 x4
Mn: 0.195 0.385 0.911 x8
Ni: 0.000 0.306 0.416 x4
S: 0.000 0.275 0.763 x4
S: 0.000 0.495 0.447 x4
S: 0.161 0.238 0.192 x8
S: 0.168 0.024 0.707 x8

=====

No. 7
Structure and simulated powder diffractogram of MnNi2S (a DFT-relaxed cell (PBE, Alexandria); λ = 1.5418 Å (Cu Kα)).
Neutral-atom scattering factors, no anomalous dispersion.

Largest 12 diffraction maxima, low angle first, 10° ≤ 2θ ≤ 90°:
two_theta, I_rel, index
22.16, 8, 1 0 1
28.85, 22, 1 0 3
32.89, 100, 1 1 2
39.15, 10, 1 0 5
49.03, 22, 2 1 1
50.29, 28, 1 1 6
51.01, 42, 2 0 4
52.74, 11, 2 1 3
53.25, 15, 0 0 8
59.68, 9, 2 1 5
72.61, 8, 3 1 2
76.28, 7, 1 1 10

Structure:
a = 4.193 Å, b = 4.193 Å, c = 13.762 Å
α = 90.00°, β = 90.00°, γ = 90.00°
Space group I-42d (No. 122)
Inequivalent atoms, fractional coordinates:
Mn: 0.000 0.000 0.000 x4
Ni: 0.150 0.250 0.625 x8
S: 0.000 0.000 0.500 x4

=====

No. 8
Structure and simulated powder diffractogram of Mn2NiS (a DFT-relaxed cell (PBE, Alexandria); λ = 1.5418 Å (Cu Kα)).
Neutral-atom scattering factors, no anomalous dispersion.

Largest 12 diffraction maxima, low angle first, 10° ≤ 2θ ≤ 90°:
two_theta, I_rel, index
36.35, 24, 2 1 1
39.62, 100, 2 2 0
42.39, 89, 1 1 2
46.33, 11, 3 0 1
57.28, 28, 4 0 0
59.41, 54, 3 1 2
73.79, 12, 3 3 2
76.64, 7, 4 3 1
83.33, 6, 5 2 1
85.36, 7, 4 4 0
86.02, 19, 2 0 4
87.17, 14, 5 1 2

Structure:
a = 6.433 Å, b = 6.433 Å, c = 4.828 Å
α = 90.00°, β = 90.00°, γ = 90.00°
Space group I-42d (No. 122)
Inequivalent atoms, fractional coordinates:
Mn: 0.214 0.250 0.125 x8
Ni: 0.000 0.000 0.500 x4
S: 0.000 0.000 0.000 x4

=====

No. 9
Structure and simulated powder diffractogram of MnNiSeS (a DFT-relaxed cell (PBE, Alexandria); λ = 1.5418 Å (Cu Kα)).
Neutral-atom scattering factors, no anomalous dispersion.

Largest 12 diffraction maxima, low angle first, 10° ≤ 2θ ≤ 90°:
two_theta, I_rel, index
27.70, 51, 2 0 0
29.32, 13, 1 1 0
31.47, 34, 0 0 2
31.77, 100, 1 1 -1
40.99, 27, 1 1 -2
45.99, 16, 1 1 2
47.29, 24, 2 0 2
49.38, 31, 3 1 -1
50.00, 17, 3 1 0
52.98, 21, 0 2 0
54.13, 29, 1 1 -3
55.88, 15, 3 1 1

Structure:
a = 6.622 Å, b = 3.457 Å, c = 5.844 Å
α = 90.00°, β = 103.38°, γ = 90.00°
Space group Cm (No. 8)
Inequivalent atoms, fractional coordinates:
Mn: 0.000 0.000 0.000 x2
Ni: 0.048 0.500 0.401 x2
Se: 0.410 0.500 0.591 x2
S: 0.333 0.000 0.067 x2

=====

No. 10
Structure and simulated powder diffractogram of ScMnNi10 (a DFT-relaxed cell (PBE, Alexandria); λ = 1.5418 Å (Cu Kα)).
Neutral-atom scattering factors, no anomalous dispersion.

Largest 12 diffraction maxima, low angle first, 10° ≤ 2θ ≤ 90°:
two_theta, I_rel, index
21.87, 36, 0 0 2
31.45, 12, 1 1 1
38.37, 18, 0 2 0
44.60, 28, 0 0 4
44.84, 100, 1 2 0
45.55, 37, 2 0 0
50.42, 51, 1 2 2
65.65, 16, 2 0 4
73.86, 13, 1 3 3
82.23, 11, 0 2 6
83.70, 14, 3 2 0
87.83, 9, 3 2 2

Structure:
a = 3.983 Å, b = 4.697 Å, c = 8.118 Å
α = 90.00°, β = 90.00°, γ = 90.00°
Space group Pmmm (No. 47)
Inequivalent atoms, fractional coordinates:
Sc: 0.000 0.000 0.000 x1
Mn: 0.000 0.500 0.500 x1
Ni: 0.000 0.000 0.337 x2
Ni: 0.000 0.500 0.172 x2
Ni: 0.500 0.000 0.500 x1
Ni: 0.500 0.251 0.252 x4
Ni: 0.500 0.500 0.000 x1

=====

No. 11
Structure and simulated powder diffractogram of ScMn2Ni9 (a DFT-relaxed cell (PBE, Alexandria); λ = 1.5418 Å (Cu Kα)).
Neutral-atom scattering factors, no anomalous dispersion.

Largest 9 diffraction maxima, low angle first, 10° ≤ 2θ ≤ 90°:
two_theta, I_rel, index
24.64, 1, 1 0 0
35.13, 1, 1 1 0
43.38, 100, 1 1 3
49.03, 1, 1 1 4
50.48, 32, 2 0 0
50.62, 15, 0 0 6
74.18, 9, 2 2 0
74.29, 17, 2 0 6
82.02, 1, 2 0 7

Structure:
a = 3.616 Å, b = 3.616 Å, c = 10.820 Å
α = 90.00°, β = 90.00°, γ = 90.00°
Space group P4/mmm (No. 123)
Inequivalent atoms, fractional coordinates:
Sc: 0.000 0.000 0.000 x1
Mn: 0.000 0.000 0.338 x2
Ni: 0.000 0.500 0.177 x4
Ni: 0.000 0.500 0.500 x2
Ni: 0.500 0.500 0.000 x1
Ni: 0.500 0.500 0.338 x2

=====

No. 12
Structure and simulated powder diffractogram of Sc2Mn2Ni (a DFT-relaxed cell (PBE, Alexandria); λ = 1.5418 Å (Cu Kα)).
Neutral-atom scattering factors, no anomalous dispersion.

Largest 12 diffraction maxima, low angle first, 10° ≤ 2θ ≤ 90°:
two_theta, I_rel, index
21.64, 23, 0 0 1
36.36, 48, 2 0 1
39.26, 100, 2 1 1
41.27, 11, 2 2 0
44.10, 31, 0 0 2
46.41, 37, 3 1 0
51.75, 15, 3 1 1
53.39, 9, 3 2 0
65.94, 24, 3 1 2
71.67, 7, 3 2 2
77.84, 11, 2 1 3
82.97, 12, 5 1 1

Structure:
a = 6.187 Å, b = 6.187 Å, c = 4.107 Å
α = 90.00°, β = 90.00°, γ = 90.00°
Space group P4/mbm (No. 127)
Inequivalent atoms, fractional coordinates:
Sc: 0.179 0.321 0.000 x4
Mn: 0.123 0.623 0.500 x4
Ni: 0.000 0.000 0.500 x2

=====

No. 13
Structure and simulated powder diffractogram of ScTiMnNi (a DFT-relaxed cell (PBE, Alexandria); λ = 1.5418 Å (Cu Kα)).
Neutral-atom scattering factors, no anomalous dispersion.

Largest 6 diffraction maxima, low angle first, 10° ≤ 2θ ≤ 90°:
two_theta, I_rel, index
29.15, 2, 2 0 0
41.70, 100, 2 2 0
51.69, 1, 2 2 2
60.45, 15, 4 0 0
68.50, 1, 4 2 0
76.12, 29, 4 2 2

Structure:
a = 6.126 Å, b = 6.126 Å, c = 6.126 Å
α = 90.00°, β = 90.00°, γ = 90.00°
Space group F-43m (No. 216)
Inequivalent atoms, fractional coordinates:
Sc: 0.000 0.000 0.000 x4
Ti: 0.000 0.000 0.500 x4
Mn: 0.250 0.250 0.750 x4
Ni: 0.250 0.250 0.250 x4

=====

No. 14
Structure and simulated powder diffractogram of MnNi5Se8 (a DFT-relaxed cell (PBE, Alexandria); λ = 1.5418 Å (Cu Kα)).
Neutral-atom scattering factors, no anomalous dispersion.

Largest 12 diffraction maxima, low angle first, 10° ≤ 2θ ≤ 90°:
two_theta, I_rel, index
15.20, 18, 1 1 1
24.94, 14, 2 2 0
29.33, 40, 3 1 1
30.67, 39, 2 2 2
35.56, 87, 4 0 0
46.74, 34, 5 1 1
51.17, 100, 4 4 0
60.84, 14, 6 2 2
63.86, 18, 4 4 4
71.80, 8, 5 5 3
75.28, 14, 8 0 0
86.12, 22, 8 4 0

Structure:
a = 10.099 Å, b = 10.099 Å, c = 10.099 Å
α = 90.00°, β = 90.00°, γ = 90.00°
Space group F-43m (No. 216)
Inequivalent atoms, fractional coordinates:
Mn: 0.000 0.000 0.000 x4
Ni: 0.124 0.124 0.376 x16
Ni: 0.250 0.250 0.750 x4
Se: 0.116 0.116 0.616 x16
Se: 0.136 0.136 0.136 x16

=====

No. 15
Structure and simulated powder diffractogram of MnNi2Se (a DFT-relaxed cell (PBE, Alexandria); λ = 1.5418 Å (Cu Kα)).
Neutral-atom scattering factors, no anomalous dispersion.

Largest 12 diffraction maxima, low angle first, 10° ≤ 2θ ≤ 90°:
two_theta, I_rel, index
25.38, 3, 0 1 1
41.99, 100, 1 1 2
43.28, 3, 1 0 3
45.42, 18, 0 0 4
46.49, 19, 0 2 0
54.36, 12, 2 0 0
62.85, 2, 0 1 5
67.02, 10, 0 2 4
73.47, 8, 2 0 4
74.27, 9, 2 2 0
81.55, 9, 1 1 6
83.10, 12, 1 3 2

Structure:
a = 3.376 Å, b = 3.907 Å, c = 7.987 Å
α = 90.00°, β = 90.00°, γ = 90.00°
Space group Imm2 (No. 44)
Inequivalent atoms, fractional coordinates:
Mn: 0.000 0.000 0.000 x2
Ni: 0.000 0.000 0.531 x2
Ni: 0.000 0.500 0.772 x2
Se: 0.000 0.500 0.244 x2